Structure and computed X-ray powder pattern of LaPm8Sm6 (a structure optimized by DFT (GGA-PBE); Cu Kα).
Intensities are scaled so that the largest is 100.

Top 10 peaks for 10° ≤ 2θ ≤ 80°, by angle:
hkl 1 2 0, 27.2°, d = 3.280 Å, I = 20
hkl 0 0 2, 29.8°, d = 3.001 Å, I = 22
hkl 1 2 1, 31.1°, d = 2.878 Å, I = 100
hkl 3 -1 2, 40.8°, d = 2.214 Å, I = 20
hkl 4 1 0, 48.0°, d = 1.894 Å, I = 19
hkl 1 2 3, 53.7°, d = 1.708 Å, I = 18
hkl 4 1 2, 57.6°, d = 1.601 Å, I = 16
hkl 6 -2 1, 58.3°, d = 1.582 Å, I = 15
hkl 2 4 2, 64.8°, d = 1.439 Å, I = 6
hkl 0 7 1, 78.8°, d = 1.214 Å, I = 8

```
LaPm8Sm6
1.0
10.0209 0.0000 0.0000
-5.0105 8.6784 0.0000
0.0000 0.0000 6.0012
La Pm Sm
1 8 6
Direct
0.0000 0.0000 0.0000
0.0518 0.7798 0.2763
0.2202 0.2720 0.2763
0.2720 0.0518 0.7237
0.3333 0.6667 0.2786
0.6667 0.3333 0.7214
0.7280 0.9482 0.2763
0.7798 0.7280 0.7237
0.9482 0.2202 0.7237
0.0914 0.6216 0.7591
0.3784 0.4698 0.7591
0.4698 0.0914 0.2409
0.5302 0.9086 0.7591
0.6216 0.5302 0.2409
0.9086 0.3784 0.2409
```